No. 1
For Cu9Te2, a cell relaxed with GGA-PBE gives the theoretical powder diffraction line list in this record (copper Kα).
Intensities are scaled so that the largest is 100.

Largest 12 diffraction maxima, by intensity, 2θ from 5° to 70°:
Position (°2θ)  I/Imax
41.7  100
44.5  59
48.5  45
53.4  23
6.2  21
28.8  15
42.7  14
32.1  12
67.0  11
46.9  11
34.5  9
37.3  8

Structural model:
```
data_Cu9Te2
_chemical_formula_sum 'Cu18 Te4'
_cell_length_a 2.793
_cell_length_b 3.435
_cell_length_c 43.010
_cell_angle_alpha 90.00
_cell_angle_beta 90.00
_cell_angle_gamma 90.00
_space_group_name_H-M_alt 'P m m n'
_space_group_IT_number 59
loop_
_space_group_symop_operation_xyz
'x,y,z'
'-x,-y,-z'
'-x+1/2,-y+1/2,z'
'x+1/2,y+1/2,-z'
'x+1/2,-y,-z'
'-x+1/2,y,z'
'-x,y+1/2,-z'
'x,-y+1/2,z'
loop_
_atom_site_label
_atom_site_type_symbol
_atom_site_fract_x
_atom_site_fract_y
_atom_site_fract_z
Cu1 Cu 0.250 0.250 0.015
Cu2 Cu 0.250 0.250 0.073
Cu3 Cu 0.250 0.250 0.132
Cu4 Cu 0.250 0.250 0.191
Cu5 Cu 0.250 0.250 0.250
Cu6 Cu 0.250 0.250 0.779
Cu7 Cu 0.250 0.250 0.838
Cu8 Cu 0.250 0.250 0.897
Cu9 Cu 0.250 0.250 0.956
Te1 Te 0.250 0.250 0.366
Te2 Te 0.250 0.250 0.710
```

---

No. 2
For Cu15Te, a cell relaxed with GGA-PBE gives the theoretical powder diffraction line list in this record (copper Kα).
Intensities are scaled so that the largest is 100.

Largest 12 diffraction maxima, by intensity, 2θ from 5° to 70°:
Position (°2θ)  I/Imax
43.9  100
42.5  77
50.1  52
50.6  16
6.4  15
10.7  10
39.1  9
50.2  8
53.0  7
12.8  5
41.3  5
36.6  4

Structural model:
```
data_Cu15Te
_chemical_formula_sum 'Cu30 Te2'
_cell_length_a 3.638
_cell_length_b 3.643
_cell_length_c 41.463
_cell_angle_alpha 90.00
_cell_angle_beta 90.00
_cell_angle_gamma 90.00
_space_group_name_H-M_alt 'P m m a'
_space_group_IT_number 51
loop_
_space_group_symop_operation_xyz
'x,y,z'
'-x,-y,-z'
'-x+1/2,-y,z'
'x+1/2,y,-z'
'x+1/2,-y,-z'
'-x+1/2,y,z'
'-x,y,-z'
'x,-y,z'
loop_
_atom_site_label
_atom_site_type_symbol
_atom_site_fract_x
_atom_site_fract_y
_atom_site_fract_z
Cu1 Cu 0.250 0.000 0.021
Cu2 Cu 0.250 0.000 0.107
Cu3 Cu 0.250 0.000 0.192
Cu4 Cu 0.250 0.000 0.277
Cu5 Cu 0.250 0.000 0.680
Cu6 Cu 0.250 0.000 0.766
Cu7 Cu 0.250 0.000 0.850
Cu8 Cu 0.250 0.000 0.936
Cu9 Cu 0.250 0.500 0.064
Cu10 Cu 0.250 0.500 0.150
Cu11 Cu 0.250 0.500 0.234
Cu12 Cu 0.250 0.500 0.723
Cu13 Cu 0.250 0.500 0.808
Cu14 Cu 0.250 0.500 0.893
Cu15 Cu 0.250 0.500 0.978
Te1 Te 0.250 0.500 0.333
```

---

No. 3
For Cu7Te, a cell relaxed with GGA-PBE gives the theoretical powder diffraction line list in this record (copper Kα).
Intensities are scaled so that the largest is 100.

Largest 12 diffraction maxima, by intensity, 2θ from 5° to 70°:
Position (°2θ)  I/Imax
5.2  100
42.1  54
43.2  29
48.2  21
52.5  14
45.5  10
50.3  9
10.4  9
38.9  7
68.9  6
44.3  5
35.0  5

Structural model:
```
data_Cu7Te
_chemical_formula_sum 'Cu14 Te2'
_cell_length_a 2.725
_cell_length_b 3.488
_cell_length_c 34.053
_cell_angle_alpha 90.00
_cell_angle_beta 90.00
_cell_angle_gamma 90.00
_space_group_name_H-M_alt 'P m m n'
_space_group_IT_number 59
loop_
_space_group_symop_operation_xyz
'x,y,z'
'-x,-y,-z'
'-x+1/2,-y+1/2,z'
'x+1/2,y+1/2,-z'
'x+1/2,-y,-z'
'-x+1/2,y,z'
'-x,y+1/2,-z'
'x,-y+1/2,z'
loop_
_atom_site_label
_atom_site_type_symbol
_atom_site_fract_x
_atom_site_fract_y
_atom_site_fract_z
Cu1 Cu 0.250 0.250 0.019
Cu2 Cu 0.250 0.250 0.092
Cu3 Cu 0.250 0.250 0.167
Cu4 Cu 0.250 0.250 0.241
Cu5 Cu 0.250 0.250 0.797
Cu6 Cu 0.250 0.250 0.871
Cu7 Cu 0.250 0.250 0.945
Te1 Te 0.250 0.250 0.706
```

---

No. 4
For Cu15Te8, a cell relaxed with GGA-PBE gives the theoretical powder diffraction line list in this record (copper Kα).
Intensities are scaled so that the largest is 100.

Largest 12 diffraction maxima, by intensity, 2θ from 5° to 70°:
Position (°2θ)  I/Imax
7.9  100
43.2  21
40.6  13
43.0  13
43.8  9
25.7  9
44.0  8
27.2  8
37.4  8
11.8  6
47.6  6
19.8  5

Structural model:
```
data_Cu15Te8
_chemical_formula_sum 'Cu15 Te8'
_cell_length_a 8.4114
_cell_length_b 8.4114
_cell_length_c 22.4337
_cell_angle_alpha 90.00
_cell_angle_beta 90.00
_cell_angle_gamma 120.00
_space_group_name_H-M_alt 'P 3 m 1'
_space_group_IT_number 156
loop_
_space_group_symop_operation_xyz
'x,y,z'
'-y,x-y,z'
'-x+y,-x,z'
'-y,-x,z'
'-x+y,y,z'
'x,x-y,z'
loop_
_atom_site_label
_atom_site_type_symbol
_atom_site_fract_x
_atom_site_fract_y
_atom_site_fract_z
Cu1 Cu 0.0000 0.0000 0.0000
Cu2 Cu 0.0028 0.5014 0.0670
Cu3 Cu 0.1603 0.3206 0.0332
Cu4 Cu 0.1725 0.3450 0.1475
Cu5 Cu 0.3131 0.1566 0.1099
Cu6 Cu 0.3333 0.6667 0.1749
Cu7 Cu 0.6667 0.3333 0.1071
Te1 Te 0.0000 0.0000 0.1748
Te2 Te 0.3333 0.6667 0.0074
Te3 Te 0.3613 0.1806 0.9948
Te4 Te 0.5135 0.0270 0.1846
```